[1]
ZrScFe4: theoretical powder XRD pattern (Cu Kα (λ = 1.5418 Å)), based on a structure optimized by DFT (GGA-PBE).
No peak broadening, texture or thermal motion is included.

Most intense lines, 2θ = 10–80°, in order of rising 2θ:
4.054 Å, intensity 6
3.511 Å, intensity 5
2.483 Å, intensity 32
2.117 Å, intensity 100
2.027 Å, intensity 35
1.756 Å, intensity 3
1.570 Å, intensity 2
1.433 Å, intensity 11
1.351 Å, intensity 28
1.241 Å, intensity 23

Atomic structure:
Lattice parameters (Å, degrees): 4.966 4.966 4.966 60.00 60.00 60.00
Element x y z (fractional)
Zr (0.000, 0.000, 0.000)
Sc (0.750, 0.750, 0.750)
Fe (0.375, 0.375, 0.375)
Fe (0.375, 0.375, 0.874)
Fe (0.375, 0.874, 0.375)
Fe (0.874, 0.375, 0.375)

***

[2]
Tm2TeO6: theoretical powder XRD pattern (Cu Kα (λ = 1.5418 Å)), based on a structure optimized by DFT (GGA-PBE).
No peak broadening, texture or thermal motion is included.

Most intense lines, 2θ = 10–80°, in order of rising 2θ:
3.497 Å, intensity 100
2.757 Å, intensity 88
2.473 Å, intensity 26
1.841 Å, intensity 68
1.749 Å, intensity 16
1.564 Å, intensity 17
1.500 Å, intensity 17
1.477 Å, intensity 19
1.379 Å, intensity 10
1.268 Å, intensity 15

Atomic structure:
Lattice parameters (Å, degrees): 4.946 4.946 9.964 90.00 90.00 90.00
Element x y z (fractional)
Tm (0.000, 0.000, 0.165)
Tm (0.000, 0.000, 0.835)
Tm (0.500, 0.500, 0.335)
Tm (0.500, 0.500, 0.665)
Te (0.000, 0.000, 0.500)
Te (0.500, 0.500, 0.000)
O (0.184, 0.184, 0.352)
O (0.184, 0.184, 0.648)
O (0.219, 0.219, 0.000)
O (0.281, 0.719, 0.500)
O (0.316, 0.684, 0.148)
O (0.316, 0.684, 0.852)
O (0.684, 0.316, 0.148)
O (0.684, 0.316, 0.852)
O (0.719, 0.281, 0.500)
O (0.781, 0.781, 0.000)
O (0.816, 0.816, 0.352)
O (0.816, 0.816, 0.648)

***

[3]
K6MgSb2S8: theoretical powder XRD pattern (Cu Kα (λ = 1.5418 Å)), based on a structure optimized by DFT (GGA-PBE).
No peak broadening, texture or thermal motion is included.

Most intense lines, 2θ = 10–80°, in order of rising 2θ:
6.720 Å, intensity 83
5.862 Å, intensity 40
5.676 Å, intensity 100
5.559 Å, intensity 48
4.144 Å, intensity 46
3.642 Å, intensity 46
3.066 Å, intensity 52
2.933 Å, intensity 67
2.892 Å, intensity 47
2.838 Å, intensity 42

Atomic structure:
Lattice parameters (Å, degrees): 8.072 8.295 8.491 87.65 71.15 88.12
Element x y z (fractional)
K (0.000, 0.000, 0.000)
K (0.038, 0.033, 0.408)
K (0.330, 0.658, 0.497)
K (0.552, 0.006, 0.956)
K (0.624, 0.465, 0.039)
K (0.806, 0.508, 0.545)
Mg (0.199, 0.236, 0.665)
Sb (0.110, 0.547, 0.000)
Sb (0.585, 0.096, 0.450)
S (0.230, 0.726, 0.143)
S (0.357, 0.412, 0.807)
S (0.359, 0.975, 0.688)
S (0.370, 0.263, 0.357)
S (0.665, 0.862, 0.279)
S (0.890, 0.211, 0.739)
S (0.932, 0.357, 0.190)
S (0.959, 0.680, 0.832)

***

[4]
La2Os2I: theoretical powder XRD pattern (Cu Kα (λ = 1.5418 Å)), based on a structure optimized by DFT (GGA-PBE).
No peak broadening, texture or thermal motion is included.

Most intense lines, 2θ = 10–80°, in order of rising 2θ:
4.525 Å, intensity 12
3.191 Å, intensity 11
2.892 Å, intensity 100
2.353 Å, intensity 18
2.263 Å, intensity 15
2.171 Å, intensity 54
2.111 Å, intensity 15
1.736 Å, intensity 22
1.566 Å, intensity 29
1.356 Å, intensity 20

Atomic structure:
Lattice parameters (Å, degrees): 4.341 4.341 18.101 90.00 90.00 120.00
Element x y z (fractional)
La (0.000, 0.000, 0.108)
La (0.000, 0.000, 0.392)
La (0.000, 0.000, 0.608)
La (0.000, 0.000, 0.892)
Os (0.333, 0.667, 0.006)
Os (0.333, 0.667, 0.494)
Os (0.667, 0.333, 0.506)
Os (0.667, 0.333, 0.994)
I (0.333, 0.667, 0.750)
I (0.667, 0.333, 0.250)

***

[5]
CuRh: theoretical powder XRD pattern (Cu Kα (λ = 1.5418 Å)), based on a structure optimized by DFT (GGA-PBE).
No peak broadening, texture or thermal motion is included.

Most intense lines, 2θ = 10–80°, in order of rising 2θ:
4.268 Å, intensity 9
2.295 Å, intensity 5
2.191 Å, intensity 100
2.134 Å, intensity 31
1.885 Å, intensity 62
1.724 Å, intensity 2
1.439 Å, intensity 1
1.347 Å, intensity 20
1.320 Å, intensity 18
1.284 Å, intensity 2

Atomic structure:
Lattice parameters (Å, degrees): 2.693 2.693 12.803 90.00 90.00 120.00
Element x y z (fractional)
Cu (0.000, 0.000, 0.000)
Cu (0.333, 0.667, 0.667)
Cu (0.667, 0.333, 0.333)
Rh (0.000, 0.000, 0.500)
Rh (0.333, 0.667, 0.167)
Rh (0.667, 0.333, 0.833)

***

[6]
Ga7Cu3Se12: theoretical powder XRD pattern (Cu Kα (λ = 1.5418 Å)), based on a structure optimized by DFT (GGA-PBE).
No peak broadening, texture or thermal motion is included.

Most intense lines, 2θ = 10–80°, in order of rising 2θ:
3.257 Å, intensity 31
3.239 Å, intensity 100
2.000 Å, intensity 32
1.994 Å, intensity 31
1.972 Å, intensity 15
1.959 Å, intensity 15
1.686 Å, intensity 10
1.682 Å, intensity 9
1.678 Å, intensity 18
1.390 Å, intensity 9

Atomic structure:
Lattice parameters (Å, degrees): 10.606 10.606 15.777 123.66 123.66 21.29
Element x y z (fractional)
Ga (0.000, 0.000, 0.000)
Ga (0.000, 0.000, 0.499)
Ga (0.328, 0.328, 0.506)
Ga (0.337, 0.337, 0.749)
Ga (0.666, 0.666, 0.759)
Ga (0.668, 0.668, 0.003)
Ga (0.992, 0.992, 0.243)
Cu (0.326, 0.326, 0.239)
Cu (0.662, 0.662, 0.241)
Cu (0.662, 0.662, 0.496)
Se (0.076, 0.076, 0.687)
Se (0.076, 0.076, 0.926)
Se (0.081, 0.081, 0.187)
Se (0.082, 0.082, 0.435)
Se (0.409, 0.409, 0.179)
Se (0.409, 0.409, 0.429)
Se (0.409, 0.409, 0.939)
Se (0.416, 0.416, 0.687)
Se (0.741, 0.741, 0.427)
Se (0.744, 0.744, 0.683)
Se (0.747, 0.747, 0.187)
Se (0.748, 0.748, 0.937)

***

[7]
LiCr2S4: theoretical powder XRD pattern (Cu Kα (λ = 1.5418 Å)), based on a structure optimized by DFT (GGA-PBE).
No peak broadening, texture or thermal motion is included.

Most intense lines, 2θ = 10–80°, in order of rising 2θ:
8.208 Å, intensity 47
5.261 Å, intensity 100
2.946 Å, intensity 71
2.630 Å, intensity 63
2.492 Å, intensity 69
2.342 Å, intensity 62
1.927 Å, intensity 34
1.917 Å, intensity 43
1.723 Å, intensity 31
1.709 Å, intensity 45

Atomic structure:
Lattice parameters (Å, degrees): 11.360 3.446 11.872 90.00 90.00 90.00
Element x y z (fractional)
Li (0.130, 0.250, 0.082)
Li (0.370, 0.750, 0.582)
Li (0.630, 0.250, 0.418)
Li (0.870, 0.750, 0.918)
Cr (0.110, 0.750, 0.420)
Cr (0.144, 0.750, 0.796)
Cr (0.356, 0.250, 0.296)
Cr (0.390, 0.250, 0.920)
Cr (0.610, 0.750, 0.080)
Cr (0.644, 0.750, 0.704)
Cr (0.856, 0.250, 0.204)
Cr (0.890, 0.250, 0.580)
S (0.032, 0.750, 0.618)
S (0.035, 0.250, 0.876)
S (0.216, 0.750, 0.248)
S (0.242, 0.250, 0.468)
S (0.258, 0.750, 0.968)
S (0.284, 0.250, 0.748)
S (0.465, 0.750, 0.376)
S (0.468, 0.250, 0.118)
S (0.532, 0.750, 0.882)
S (0.535, 0.250, 0.624)
S (0.716, 0.750, 0.252)
S (0.742, 0.250, 0.032)
S (0.758, 0.750, 0.532)
S (0.784, 0.250, 0.752)
S (0.965, 0.750, 0.124)
S (0.968, 0.250, 0.382)

***

[8]
Ce3P6Pd20: theoretical powder XRD pattern (Cu Kα (λ = 1.5418 Å)), based on a structure optimized by DFT (GGA-PBE).
No peak broadening, texture or thermal motion is included.

Most intense lines, 2θ = 10–80°, in order of rising 2θ:
2.756 Å, intensity 22
2.516 Å, intensity 31
2.372 Å, intensity 100
2.179 Å, intensity 31
2.084 Å, intensity 25
2.054 Å, intensity 11
1.858 Å, intensity 12
1.453 Å, intensity 28
1.423 Å, intensity 14
1.258 Å, intensity 20

Atomic structure:
Lattice parameters (Å, degrees): 8.716 8.716 8.716 60.00 60.00 60.00
Element x y z (fractional)
Ce (0.000, 0.000, 0.000)
Ce (0.250, 0.250, 0.250)
Ce (0.750, 0.750, 0.750)
P (0.264, 0.264, 0.736)
P (0.264, 0.736, 0.264)
P (0.264, 0.736, 0.736)
P (0.736, 0.264, 0.264)
P (0.736, 0.264, 0.736)
P (0.736, 0.736, 0.264)
Pd (0.000, 0.000, 0.345)
Pd (0.000, 0.000, 0.655)
Pd (0.000, 0.345, 0.000)
Pd (0.000, 0.345, 0.655)
Pd (0.000, 0.655, 0.000)
Pd (0.000, 0.655, 0.345)
Pd (0.151, 0.616, 0.616)
Pd (0.345, 0.000, 0.000)
Pd (0.345, 0.000, 0.655)
Pd (0.345, 0.655, 0.000)
Pd (0.384, 0.384, 0.384)
Pd (0.384, 0.384, 0.849)
Pd (0.384, 0.849, 0.384)
Pd (0.616, 0.151, 0.616)
Pd (0.616, 0.616, 0.151)
Pd (0.616, 0.616, 0.616)
Pd (0.655, 0.000, 0.000)
Pd (0.655, 0.000, 0.345)
Pd (0.655, 0.345, 0.000)
Pd (0.849, 0.384, 0.384)

***

[9]
CeSe2: theoretical powder XRD pattern (Cu Kα (λ = 1.5418 Å)), based on a structure optimized by DFT (GGA-PBE).
No peak broadening, texture or thermal motion is included.

Most intense lines, 2θ = 10–80°, in order of rising 2θ:
6.860 Å, intensity 9
6.723 Å, intensity 100
5.419 Å, intensity 38
4.191 Å, intensity 29
3.429 Å, intensity 11
3.311 Å, intensity 17
2.712 Å, intensity 13
2.627 Å, intensity 11
2.461 Å, intensity 10
1.910 Å, intensity 9

Atomic structure:
Lattice parameters (Å, degrees): 8.429 8.429 14.827 111.92 111.92 56.46
Element x y z (fractional)
Ce (0.059, 0.316, 0.313)
Ce (0.316, 0.059, 0.813)
Ce (0.684, 0.941, 0.187)
Ce (0.941, 0.684, 0.687)
Se (0.000, 0.500, 0.500)
Se (0.008, 0.992, 0.750)
Se (0.188, 0.432, 0.811)
Se (0.432, 0.188, 0.311)
Se (0.500, 0.000, 0.000)
Se (0.568, 0.812, 0.689)
Se (0.812, 0.568, 0.189)
Se (0.992, 0.008, 0.250)

***

[10]
La3ScAl8: theoretical powder XRD pattern (Cu Kα (λ = 1.5418 Å)), based on a structure optimized by DFT (GGA-PBE).
No peak broadening, texture or thermal motion is included.

Most intense lines, 2θ = 10–80°, in order of rising 2θ:
4.668 Å, intensity 23
4.623 Å, intensity 67
2.848 Å, intensity 86
2.828 Å, intensity 84
2.431 Å, intensity 50
2.418 Å, intensity 100
2.412 Å, intensity 49
1.636 Å, intensity 32
1.544 Å, intensity 24
1.541 Å, intensity 24

Atomic structure:
Lattice parameters (Å, degrees): 9.890 9.890 9.890 33.22 33.22 33.22
Element x y z (fractional)
La (0.000, 0.000, 0.000)
La (0.126, 0.126, 0.126)
La (0.625, 0.625, 0.625)
Sc (0.500, 0.500, 0.500)
Al (0.061, 0.061, 0.560)
Al (0.061, 0.560, 0.061)
Al (0.067, 0.564, 0.564)
Al (0.312, 0.312, 0.312)
Al (0.560, 0.061, 0.061)
Al (0.564, 0.067, 0.564)
Al (0.564, 0.564, 0.067)
Al (0.813, 0.813, 0.813)